No. 1
The following is a simulated X-ray diffraction stick pattern of MoBr2. It was derived from a crystal structure in OQMD, relaxed with PBE, using Cu Kα (weighted mean of Kα1 and Kα2).
Peak positions follow from Bragg's law for the DFT cell and can differ from measured ones.

Peak list (10 most intense, 2θ from 5° to 70°, low angle first)
2theta  Rel. int.
11.90  36.5
12.12  100.0
14.94  23.3
24.57  13.7
32.52  16.0
33.81  14.5
39.64  12.6
41.85  11.9
48.56  12.5
49.77  12.1

Structural model:
abc: 9.507 9.507 11.867
angles: 90.00 90.00 77.09
Fractional positions:
1 Mo 0.066 0.934 0.857
2 Mo 0.126 0.126 0.000
3 Mo 0.143 0.857 0.066
4 Mo 0.357 0.643 0.566
5 Mo 0.374 0.374 0.500
6 Mo 0.434 0.566 0.357
7 Mo 0.566 0.434 0.643
8 Mo 0.626 0.626 0.500
9 Mo 0.643 0.357 0.434
10 Mo 0.857 0.143 0.934
11 Mo 0.874 0.874 0.000
12 Mo 0.934 0.066 0.143
13 Br 0.047 0.201 0.793
14 Br 0.083 0.668 0.923
15 Br 0.146 0.854 0.646
16 Br 0.168 0.583 0.423
17 Br 0.201 0.047 0.207
18 Br 0.201 0.201 0.500
19 Br 0.299 0.299 0.000
20 Br 0.299 0.453 0.707
21 Br 0.332 0.917 0.923
22 Br 0.354 0.646 0.146
23 Br 0.417 0.832 0.423
24 Br 0.453 0.299 0.293
25 Br 0.547 0.701 0.707
26 Br 0.583 0.168 0.577
27 Br 0.646 0.354 0.854
28 Br 0.668 0.083 0.077
29 Br 0.701 0.547 0.293
30 Br 0.701 0.701 0.000
31 Br 0.799 0.799 0.500
32 Br 0.799 0.953 0.793
33 Br 0.832 0.417 0.577
34 Br 0.854 0.146 0.354
35 Br 0.917 0.332 0.077
36 Br 0.953 0.799 0.207

=====

No. 2
The following is a simulated X-ray diffraction stick pattern of NdEr2Mg3Tl2Zn. It was derived from a crystal structure in OQMD, relaxed with PBE, using Cu Kα (weighted mean of Kα1 and Kα2).
Peak positions follow from Bragg's law for the DFT cell and can differ from measured ones.

Peak list (10 most intense, 2θ from 5° to 70°, low angle first)
2theta  Rel. int.
13.45  29.0
13.69  31.8
23.56  38.7
30.65  100.0
30.98  54.3
33.50  34.3
33.91  81.3
39.24  37.2
41.91  26.3
65.85  22.7

Structural model:
abc: 4.592 7.556 7.556
angles: 121.16 90.00 90.00
Fractional positions:
1 Nd 0.000 0.000 0.000
2 Er 0.000 0.413 0.826
3 Er 0.000 0.826 0.413
4 Mg 0.500 0.182 0.416
5 Mg 0.500 0.416 0.182
6 Mg 0.500 0.652 0.652
7 Tl 0.500 0.083 0.742
8 Tl 0.500 0.742 0.083
9 Zn 0.000 0.425 0.425

=====

No. 3
The following is a simulated X-ray diffraction stick pattern of BeAl2Cu5. It was derived from a crystal structure in OQMD, relaxed with PBE, using Cu Kα (weighted mean of Kα1 and Kα2).
Peak positions follow from Bragg's law for the DFT cell and can differ from measured ones.

Peak list (10 most intense, 2θ from 5° to 70°, low angle first)
2theta  Rel. int.
27.86  7.6
30.80  10.0
31.40  17.1
36.08  10.8
44.56  100.0
45.00  47.5
48.57  5.6
55.52  5.9
64.16  7.8
65.53  13.5

Structural model:
abc: 7.067 7.067 7.067
angles: 132.45 132.45 69.52
Fractional positions:
1 Be 0.375 0.625 0.750
2 Be 0.625 0.375 0.250
3 Al 0.114 0.364 0.750
4 Al 0.364 0.114 0.250
5 Al 0.636 0.886 0.750
6 Al 0.886 0.636 0.250
7 Cu 0.000 0.274 0.274
8 Cu 0.000 0.726 0.726
9 Cu 0.125 0.875 0.250
10 Cu 0.274 0.000 0.774
11 Cu 0.274 0.500 0.274
12 Cu 0.500 0.274 0.774
13 Cu 0.500 0.726 0.226
14 Cu 0.726 0.000 0.226
15 Cu 0.726 0.500 0.726
16 Cu 0.875 0.125 0.750

=====

No. 4
The following is a simulated X-ray diffraction stick pattern of Cu5Ag4. It was derived from a crystal structure in OQMD, relaxed with PBE, using Cu Kα (weighted mean of Kα1 and Kα2).
Peak positions follow from Bragg's law for the DFT cell and can differ from measured ones.

Peak list (10 most intense, 2θ from 5° to 70°, low angle first)
2theta  Rel. int.
13.45  4.6
27.08  5.3
39.86  100.0
41.12  29.0
46.42  41.8
47.35  18.7
66.93  7.1
67.56  12.0
68.57  5.5
69.39  10.3

Structural model:
abc: 7.321 7.321 6.586
angles: 91.04 91.04 22.02
Fractional positions:
1 Cu 0.000 0.000 0.000
2 Cu 0.344 0.344 0.008
3 Cu 0.549 0.549 0.305
4 Cu 0.656 0.656 0.994
5 Cu 0.895 0.895 0.310
6 Ag 0.109 0.109 0.652
7 Ag 0.225 0.225 0.309
8 Ag 0.443 0.443 0.654
9 Ag 0.777 0.777 0.683